The following is a simulated X-ray diffraction stick pattern of Nd3Y3Tl2. It was derived from a cell relaxed with PBE, using λ = 1.5418 Å (Cu Kα).

Peak list (6 most intense, 2θ from 10° to 80°, by angle)
2theta, Rel. int.
31.41, 100
35.81, 18
36.58, 17
36.88, 16
61.62, 15
62.64, 14

Atomic structure:
```
Nd3Y3Tl2
1.0
4.9133 0.0000 0.0000
0.0000 5.0150 0.0000
0.0000 0.0000 9.7487
Nd Y Tl
3 3 2
direct
0.0000 0.0000 0.0000
0.5000 0.0000 0.2473
0.5000 0.0000 0.7527
0.0000 0.0000 0.5000
0.5000 0.5000 0.0000
0.5000 0.5000 0.5000
0.0000 0.5000 0.2552
0.0000 0.5000 0.7448
```